Entry 1:
# Dy2Al4ZnAu3
Computed powder XRD pattern, Cu Kα. Input: a DFT-relaxed cell (PBE, Alexandria).

Most intense lines, 15 to 90 degrees two-theta, in order of falling intensity:
d (Å)	I_rel
2.625	100
2.751	74
2.122	65
3.341	54
2.893	47
1.930	44
1.680	35
1.428	34
3.002	28
3.612	25

Atomic structure:
Unit cell a=4.2448 b=4.2448 c=10.8348 alpha=90.00 beta=90.00 gamma=90.00
Sites, in units of the cell vectors:
1 Dy 0.0000 0.5000 0.2444
2 Dy 0.5000 0.0000 0.7556
3 Al 0.0000 0.0000 0.5000
4 Al 0.0000 0.5000 0.8652
5 Al 0.5000 0.0000 0.1348
6 Al 0.5000 0.5000 0.5000
7 Zn 0.5000 0.5000 0.0000
8 Au 0.0000 0.0000 0.0000
9 Au 0.0000 0.5000 0.6369
10 Au 0.5000 0.0000 0.3631



Entry 2:
# Er3Al5Au6
Computed powder XRD pattern, Cu Kα. Input: a DFT-relaxed cell (PBE, Alexandria).

Most intense lines, 15 to 90 degrees two-theta, in order of falling intensity:
d (Å)	I_rel
2.589	100
2.553	53
2.199	47
2.529	42
2.943	37
2.382	36
3.816	34
2.182	26
3.202	23
2.250	22

Atomic structure:
Unit cell a=4.3986 b=13.0892 c=9.4286 alpha=90.00 beta=90.00 gamma=90.00
Sites, in units of the cell vectors:
1 Er 0.2500 0.0492 0.2483
2 Er 0.2500 0.4508 0.2483
3 Er 0.2500 0.7500 0.2646
4 Er 0.7500 0.2500 0.7354
5 Er 0.7500 0.5492 0.7517
6 Er 0.7500 0.9508 0.7517
7 Al 0.2500 0.0834 0.6049
8 Al 0.2500 0.4166 0.6049
9 Al 0.2500 0.6140 0.9782
10 Al 0.2500 0.7500 0.7416
11 Al 0.2500 0.8860 0.9782
12 Al 0.7500 0.1140 0.0218
13 Al 0.7500 0.2500 0.2584
14 Al 0.7500 0.3860 0.0218
15 Al 0.7500 0.5834 0.3951
16 Al 0.7500 0.9166 0.3951
17 Au 0.2500 0.0878 0.8743
18 Au 0.2500 0.2500 0.0880
19 Au 0.2500 0.2500 0.4447
20 Au 0.2500 0.4122 0.8743
21 Au 0.2500 0.6091 0.5327
22 Au 0.2500 0.8909 0.5327
23 Au 0.7500 0.1091 0.4673
24 Au 0.7500 0.3909 0.4673
25 Au 0.7500 0.5878 0.1257
26 Au 0.7500 0.7500 0.5553
27 Au 0.7500 0.7500 0.9120
28 Au 0.7500 0.9122 0.1257



Entry 3:
# Er2Al3Au9
Computed powder XRD pattern, Cu Kα. Input: a DFT-relaxed cell (PBE, Alexandria).

Most intense lines, 15 to 90 degrees two-theta, in order of falling intensity:
d (Å)	I_rel
2.511	100
2.280	87
2.521	48
1.355	29
3.077	24
1.358	19
2.574	17
2.444	15
2.545	15
1.630	14

Atomic structure:
Unit cell a=7.9011 b=7.9011 c=10.8186 alpha=111.74 beta=111.74 gamma=59.94
Sites, in units of the cell vectors:
1 Er 0.0846 0.2508 0.2474
2 Er 0.2508 0.0846 0.7474
3 Er 0.7492 0.9154 0.2526
4 Er 0.9154 0.7492 0.7526
5 Al 0.0000 0.5000 0.0000
6 Al 0.1527 0.6752 0.5015
7 Al 0.3249 0.8473 0.9985
8 Al 0.5000 0.0000 0.5000
9 Al 0.6752 0.1527 0.0015
10 Al 0.8473 0.3249 0.4985
11 Au 0.0211 0.8591 0.0727
12 Au 0.1409 0.9789 0.4273
13 Au 0.1886 0.5820 0.2546
14 Au 0.1897 0.3550 0.5656
15 Au 0.2993 0.4784 0.9246
16 Au 0.3499 0.6501 0.7500
17 Au 0.3550 0.1897 0.0656
18 Au 0.4180 0.8114 0.2454
19 Au 0.4784 0.2993 0.4246
20 Au 0.5216 0.7007 0.5754
21 Au 0.5820 0.1886 0.7546
22 Au 0.6450 0.8103 0.9344
23 Au 0.6501 0.3499 0.2500
24 Au 0.7007 0.5216 0.0754
25 Au 0.8103 0.6450 0.4344
26 Au 0.8114 0.4180 0.7454
27 Au 0.8591 0.0211 0.5727
28 Au 0.9789 0.1409 0.9273